Entry 1:
# Na2Sr3Pt
Computed PXRD pattern, a wavelength of 1.5418 Å. Input: a GGA-PBE-relaxed structure.
Intensities are scaled so that the largest is 100.

Crystal structure
Unit cell a=10.0333 b=10.0333 c=4.3340 alpha=90.24 beta=90.24 gamma=34.93
Element x y z (fractional)
Na 0.2024 0.2024 0.0038
Na 0.7976 0.7976 0.9962
Sr 0.0000 0.0000 0.0000
Sr 0.3914 0.3914 0.4980
Sr 0.6086 0.6086 0.5020
Pt 0.5000 0.5000 0.0000

Main lines, by angle (2θ = 10–90°):
| 2theta | intensity |
| --- | --- |
| 15.42 | 100 |
| 22.52 | 34 |
| 27.71 | 52 |
| 27.83 | 53 |
| 28.98 | 44 |
| 29.67 | 54 |
| 31.14 | 28 |
| 37.58 | 33 |
| 41.09 | 73 |
| 41.69 | 24 |



Entry 2:
# NaSr3Pt
Computed PXRD pattern, a wavelength of 1.5418 Å. Input: a GGA-PBE-relaxed structure.
Intensities are scaled so that the largest is 100.

Crystal structure
Unit cell a=10.5760 b=10.5760 c=9.3208 alpha=104.50 beta=104.50 gamma=23.44
Element x y z (fractional)
Na 0.2254 0.2254 0.3502
Na 0.7746 0.7746 0.6498
Sr 0.1032 0.1032 0.6435
Sr 0.3324 0.3324 0.9942
Sr 0.4643 0.4643 0.7885
Sr 0.5357 0.5357 0.2115
Sr 0.6676 0.6676 0.0058
Sr 0.8968 0.8968 0.3565
Pt 0.0605 0.0605 0.9523
Pt 0.9395 0.9395 0.0477

Main lines, by angle (2θ = 10–90°):
| 2theta | intensity |
| --- | --- |
| 14.81 | 45 |
| 27.85 | 100 |
| 29.47 | 28 |
| 30.53 | 67 |
| 33.22 | 26 |
| 33.88 | 29 |
| 37.76 | 43 |
| 38.84 | 37 |
| 39.76 | 26 |
| 42.06 | 29 |



Entry 3:
# NaTaPt2
Computed PXRD pattern, a wavelength of 1.5418 Å. Input: a GGA-PBE-relaxed structure.
Intensities are scaled so that the largest is 100.

Crystal structure
Unit cell a=3.1388 b=3.1388 c=7.6486 alpha=90.00 beta=90.00 gamma=90.00
Element x y z (fractional)
Na 0.0000 0.0000 0.0000
Ta 0.0000 0.0000 0.5000
Pt 0.5000 0.5000 0.2939
Pt 0.5000 0.5000 0.7061

Main lines, by angle (2θ = 10–90°):
| 2theta | intensity |
| --- | --- |
| 11.57 | 93 |
| 28.44 | 11 |
| 37.05 | 100 |
| 40.65 | 48 |
| 42.41 | 16 |
| 45.85 | 38 |
| 58.84 | 16 |
| 71.61 | 29 |
| 75.48 | 13 |
| 77.65 | 17 |



Entry 4:
# NaTcPt
Computed PXRD pattern, a wavelength of 1.5418 Å. Input: a GGA-PBE-relaxed structure.
Intensities are scaled so that the largest is 100.

Crystal structure
Unit cell a=6.2490 b=6.2490 c=2.7317 alpha=90.00 beta=90.00 gamma=97.34
Element x y z (fractional)
Na 0.1631 0.1631 0.0000
Na 0.8369 0.8369 0.0000
Tc 0.3777 0.6223 0.0000
Tc 0.6223 0.3777 0.0000
Pt 0.0000 0.5000 0.5000
Pt 0.5000 0.0000 0.5000

Main lines, by angle (2θ = 10–90°):
| 2theta | intensity |
| --- | --- |
| 14.29 | 54 |
| 18.91 | 100 |
| 28.81 | 92 |
| 38.12 | 63 |
| 39.56 | 93 |
| 43.88 | 36 |
| 44.20 | 69 |
| 44.42 | 78 |
| 51.33 | 40 |
| 69.78 | 43 |